For La2SmSb3, a crystal structure in Alexandria, relaxed with PBE gives the simulated X-ray diffraction stick pattern in this record (Cu Kα, 1.54184 Å).

Most intense lines, 10° ≤ 2θ ≤ 80°, in order of rising 2θ:
h k l, d (Å), two_theta, intensity
2 2 0, 3.735, 23.82, 1
2 0 6, 3.235, 27.58, 100
2 4 6, 2.287, 39.39, 77
4 2 6, 1.951, 46.56, 1
0 4 12, 1.868, 48.76, 28
0 8 0, 1.617, 56.93, 13
2 8 6, 1.447, 64.40, 35
2 4 18, 1.321, 71.43, 26

Atomic structure:
Cell: 9.147 12.942 27.447 Å, 90.00 90.00 90.00°
Space group Fddd (No. 70, origin choice 2)
Inequivalent atoms, fractional coordinates:
La 0.125 0.125 0.042 [16 per cell]
La 0.125 0.125 0.374 [16 per cell]
Sm 0.125 0.125 0.542 [16 per cell]
Sb 0.119 0.375 0.875 [16 per cell]
Sb 0.122 0.372 0.709 [32 per cell]

For Y4TlSnS, a crystal structure in Alexandria, relaxed with PBE gives the simulated X-ray diffraction stick pattern in this record (Cu Kα, 1.54184 Å).

Most intense lines, 10° ≤ 2θ ≤ 80°, in order of rising 2θ:
h k l, d (Å), two_theta, intensity
2 0 0, 3.572, 24.92, 61
2 2 0, 3.264, 27.32, 65
1 5 1, 2.712, 33.04, 38
2 4 0, 2.673, 33.52, 96
0 4 2, 2.668, 33.59, 65
2 0 2, 2.526, 35.54, 100
3 5 1, 1.848, 49.30, 24
2 6 2, 1.838, 49.61, 40
4 4 2, 1.486, 62.52, 41
2 4 4, 1.484, 62.61, 22

Atomic structure:
Cell: 7.151 16.068 7.138 Å, 90.00 90.00 90.00°
Space group Cmcm (No. 63)
Inequivalent atoms, fractional coordinates:
Y 0.000 0.079 0.250 [4 per cell]
Y 0.000 0.420 0.250 [4 per cell]
Y 0.250 0.250 0.000 [8 per cell]
Tl 0.000 0.115 0.750 [4 per cell]
Sn 0.000 0.386 0.750 [4 per cell]
S 0.000 0.249 0.250 [4 per cell]

For Rb3TmP2O8, a crystal structure in Alexandria, relaxed with PBE gives the simulated X-ray diffraction stick pattern in this record (Cu Kα, 1.54184 Å).

Most intense lines, 10° ≤ 2θ ≤ 80°, in order of rising 2θ:
h k l, d (Å), two_theta, intensity
0 0 1, 8.245, 10.73, 15
1 0 0, 4.936, 17.97, 16
0 1 1, 4.235, 20.98, 17
1 0 2, 3.164, 28.20, 100
1 1 0, 2.850, 31.39, 69
2 0 2, 2.118, 42.70, 36
2 1 2, 1.700, 53.94, 30
1 1 4, 1.670, 54.98, 25
3 0 0, 1.645, 55.88, 13
1 3 2, 1.299, 72.79, 13

Atomic structure:
Cell: 5.6998 5.6998 8.2445 Å, 90.00 90.00 120.00°
Space group P-3m1 (No. 164)
Inequivalent atoms, fractional coordinates:
Rb 0.0000 0.0000 0.0000 [1 per cell]
Rb 0.3333 0.6667 0.7585 [2 per cell]
Tm 0.0000 0.0000 0.5000 [1 per cell]
P 0.3333 0.6667 0.2799 [2 per cell]
O 0.1842 0.3683 0.3447 [6 per cell]
O 0.3333 0.6667 0.0942 [2 per cell]

For Y2InO4, a crystal structure in Alexandria, relaxed with PBE gives the simulated X-ray diffraction stick pattern in this record (Cu Kα, 1.54184 Å).

Most intense lines, 10° ≤ 2θ ≤ 80°, in order of rising 2θ:
h k l, d (Å), two_theta, intensity
2 0 0, 2.948, 30.32, 28
1 3 0, 2.917, 30.65, 100
1 1 1, 2.801, 31.95, 98
0 2 1, 2.792, 32.06, 28
2 1 1, 2.163, 41.76, 19
2 2 1, 2.027, 44.70, 51
0 0 2, 1.678, 54.70, 27
1 5 1, 1.657, 55.45, 27
2 6 0, 1.458, 63.83, 21
1 3 2, 1.454, 64.02, 24

Atomic structure:
Cell: 5.896 10.069 3.355 Å, 90.00 90.00 90.00°
Space group Pbam (No. 55)
Inequivalent atoms, fractional coordinates:
Y 0.057 0.172 0.000 [4 per cell]
In 0.000 0.500 0.500 [2 per cell]
O 0.164 0.718 0.500 [4 per cell]
O 0.239 0.971 0.000 [4 per cell]

For Cd2Ga2Ag5, a crystal structure in Alexandria, relaxed with PBE gives the simulated X-ray diffraction stick pattern in this record (Cu Kα, 1.54184 Å).

Most intense lines, 10° ≤ 2θ ≤ 80°, in order of rising 2θ:
h k l, d (Å), two_theta, intensity
1 0 0, 7.913, 11.18, 34
2 0 2, 2.827, 31.65, 79
0 2 2, 2.344, 38.40, 100
2 2 0, 2.328, 38.67, 67
1 2 2, 2.248, 40.11, 18
3 0 2, 2.209, 40.86, 56
0 0 4, 2.019, 44.88, 30
3 2 0, 1.945, 46.71, 28
3 2 4, 1.401, 66.77, 33
3 4 2, 1.206, 79.48, 18

Atomic structure:
Cell: 7.913 5.757 8.081 Å, 90.00 90.00 90.00°
Space group Amm2 (No. 38)
Inequivalent atoms, fractional coordinates:
Cd 0.000 0.000 0.000 [2 per cell]
Cd 0.500 0.000 0.112 [2 per cell]
Ga 0.344 0.000 0.508 [4 per cell]
Ag 0.000 0.000 0.505 [2 per cell]
Ag 0.204 0.249 0.254 [8 per cell]

For LiTlH2Br, a crystal structure in Alexandria, relaxed with PBE gives the simulated X-ray diffraction stick pattern in this record (Cu Kα, 1.54184 Å).

Most intense lines, 10° ≤ 2θ ≤ 80°, in order of rising 2θ:
h k l, d (Å), two_theta, intensity
0 0 1, 8.622, 10.26, 100
0 0 2, 4.311, 20.60, 41
1 0 0, 3.577, 24.89, 91
0 1 1, 3.304, 26.99, 24
0 0 3, 2.874, 31.12, 26
0 1 2, 2.753, 32.53, 29
1 1 0, 2.529, 35.49, 40
0 1 3, 2.240, 40.26, 24
1 1 -3, 1.907, 47.70, 17
1 2 0, 1.600, 57.62, 18

Atomic structure:
Cell: 3.578 3.577 8.622 Å, 90.00 90.69 90.00°
Space group Pm (No. 6)
Inequivalent atoms, fractional coordinates:
Li 0.000 0.000 0.000 [1 per cell]
Tl 0.533 0.500 0.308 [1 per cell]
H 0.833 0.000 0.655 [1 per cell]
H 0.960 0.000 0.586 [1 per cell]
Br 0.497 0.500 0.937 [1 per cell]

For SrAg3Au9, a crystal structure in Alexandria, relaxed with PBE gives the simulated X-ray diffraction stick pattern in this record (Cu Kα, 1.54184 Å).

Most intense lines, 10° ≤ 2θ ≤ 80°, in order of rising 2θ:
h k l, d (Å), two_theta, intensity
2 0 -1, 2.812, 31.82, 40
1 3 1, 2.792, 32.06, 38
2 2 -2, 2.413, 37.26, 100
1 5 -1, 2.406, 37.38, 40
0 4 2, 2.397, 37.51, 75
1 1 -3, 2.387, 37.68, 43
2 4 -1, 2.166, 41.69, 60
1 3 2, 2.157, 41.88, 39
2 0 -3, 2.147, 42.09, 79
0 2 3, 2.140, 42.23, 45

Atomic structure:
Cell: 5.625 13.591 7.291 Å, 90.00 111.85 90.00°
Space group C2/m (No. 12)
Inequivalent atoms, fractional coordinates:
Sr 0.000 0.000 0.000 [2 per cell]
Ag 0.000 0.000 0.500 [2 per cell]
Ag 0.250 0.250 0.000 [4 per cell]
Au 0.000 0.500 0.500 [2 per cell]
Au 0.106 0.391 0.216 [8 per cell]
Au 0.166 0.175 0.349 [8 per cell]

For TmIn2SnSe4, a crystal structure in Alexandria, relaxed with PBE gives the simulated X-ray diffraction stick pattern in this record (Cu Kα, 1.54184 Å).

Most intense lines, 10° ≤ 2θ ≤ 80°, in order of rising 2θ:
h k l, d (Å), two_theta, intensity
2 0 -2, 3.044, 29.34, 51
1 1 1, 3.010, 29.68, 100
2 0 2, 2.195, 41.12, 19
1 1 -3, 2.151, 42.00, 38
3 1 -1, 2.130, 42.44, 37
0 2 0, 2.068, 43.78, 18
0 0 4, 1.793, 50.94, 11
4 0 0, 1.768, 51.69, 10
2 2 -2, 1.710, 53.58, 19
2 2 2, 1.505, 61.62, 12

Atomic structure:
Cell: 7.455 4.135 7.559 Å, 90.00 108.41 90.00°
Space group P2/m (No. 10)
Inequivalent atoms, fractional coordinates:
Tm 0.000 0.000 0.000 [1 per cell]
In 0.000 0.500 0.500 [1 per cell]
In 0.500 0.000 0.500 [1 per cell]
Sn 0.500 0.500 0.000 [1 per cell]
Se 0.224 0.500 0.221 [2 per cell]
Se 0.235 0.000 0.764 [2 per cell]

What is the formula in the sixth record? LiTlH2Br